Entry 1:
Starting from a cell relaxed with GGA-PBE, the X-ray diffraction stick pattern of SbOs2Pd4 was computed for λ = 1.5418 Å (Cu Kα).
Kinematic intensities with the Lorentz-polarization factor, no thermal factor.

Structure:
Unit cell a=4.980 b=4.980 c=12.392 alpha=90.00 beta=90.00 gamma=90.00
Space group I4/mmm (No. 139)
Symmetry-distinct sites (fractional):
Sb  0.000  0.000  0.000 [2 per cell]
Os  0.000  0.000  0.408 [4 per cell]
Pd  0.000  0.000  0.210 [4 per cell]
Pd  0.000  0.500  0.000 [4 per cell]

The 6 most intense peaks (2θ from 5° to 70°), sorted by position:
2θ 14.3, d 6.196, I = 49, hkl 0 0 2
2θ 25.3, d 3.521, I = 71, hkl 1 1 0
2θ 36.1, d 2.490, I = 100, hkl 2 0 0
2θ 40.7, d 2.219, I = 79, hkl 1 0 5
2θ 51.9, d 1.761, I = 35, hkl 2 2 0
2θ 55.5, d 1.656, I = 64, hkl 2 1 5

=====

Entry 2:
Starting from a cell relaxed with GGA-PBE, the X-ray diffraction stick pattern of Pu3OsRu2 was computed for λ = 1.5418 Å (Cu Kα).
Kinematic intensities with the Lorentz-polarization factor, no thermal factor.

Structure:
Unit cell a=4.714 b=14.106 c=3.487 alpha=90.00 beta=90.00 gamma=90.00
Space group Pmmn (No. 59, origin choice 2)
Symmetry-distinct sites (fractional):
Pu  0.250  0.084  0.001 [4 per cell]
Pu  0.250  0.750  0.998 [2 per cell]
Os  0.250  0.250  0.501 [2 per cell]
Ru  0.250  0.582  0.499 [4 per cell]

The 6 most intense peaks (2θ from 5° to 70°), sorted by position:
2θ 37.3, d 2.408, I = 100, hkl 1 3 1
2θ 38.2, d 2.357, I = 24, hkl 2 0 0
2θ 38.3, d 2.351, I = 23, hkl 0 6 0
2θ 66.8, d 1.401, I = 19, hkl 2 0 2
2θ 68.5, d 1.370, I = 17, hkl 3 3 1
2θ 68.6, d 1.368, I = 17, hkl 1 9 1

=====

Entry 3:
Starting from a cell relaxed with GGA-PBE, the X-ray diffraction stick pattern of PuZrTe was computed for λ = 1.5418 Å (Cu Kα).
Kinematic intensities with the Lorentz-polarization factor, no thermal factor.

Structure:
Unit cell a=3.510 b=3.510 c=11.283 alpha=90.00 beta=90.00 gamma=90.00
Space group P4/nmm (No. 129, origin choice 2)
Symmetry-distinct sites (fractional):
Pu  0.250  0.250  0.043 [2 per cell]
Zr  0.250  0.250  0.767 [2 per cell]
Te  0.250  0.250  0.364 [2 per cell]

The 6 most intense peaks (2θ from 5° to 70°), sorted by position:
2θ 7.8, d 11.283, I = 100, hkl 0 0 1
2θ 23.7, d 3.761, I = 22, hkl 0 0 3
2θ 35.0, d 2.566, I = 62, hkl 1 0 3
2θ 36.2, d 2.482, I = 54, hkl 1 1 0
2θ 41.1, d 2.199, I = 30, hkl 1 0 4
2θ 64.3, d 1.449, I = 21, hkl 2 1 3

=====

Entry 4:
Starting from a cell relaxed with GGA-PBE, the X-ray diffraction stick pattern of Tm3Sc was computed for λ = 1.5418 Å (Cu Kα).
Kinematic intensities with the Lorentz-polarization factor, no thermal factor.

Structure:
Unit cell a=4.862 b=4.862 c=9.675 alpha=90.00 beta=90.00 gamma=90.00
Space group I4/mmm (No. 139)
Symmetry-distinct sites (fractional):
Tm  0.000  0.000  0.000 [2 per cell]
Tm  0.000  0.500  0.250 [4 per cell]
Sc  0.000  0.000  0.500 [2 per cell]

The 6 most intense peaks (2θ from 5° to 70°), sorted by position:
2θ 20.4, d 4.344, I = 15, hkl 1 0 1
2θ 31.9, d 2.802, I = 100, hkl 1 1 2
2θ 37.0, d 2.431, I = 34, hkl 2 0 0
2θ 37.2, d 2.419, I = 17, hkl 0 0 4
2θ 53.4, d 1.715, I = 23, hkl 2 0 4
2θ 63.5, d 1.465, I = 28, hkl 3 1 2

=====

Entry 5:
Starting from a cell relaxed with GGA-PBE, the X-ray diffraction stick pattern of LiHfTlBr6 was computed for λ = 1.5418 Å (Cu Kα).
Kinematic intensities with the Lorentz-polarization factor, no thermal factor.

Structure:
Unit cell a=7.0482 b=7.0482 c=14.4594 alpha=90.00 beta=90.00 gamma=120.00
Space group P-31c (No. 163)
Symmetry-distinct sites (fractional):
Li  0.3333  0.6667  0.2500 [2 per cell]
Hf  0.3333  0.6667  0.7500 [2 per cell]
Tl  0.0000  0.0000  0.0000 [2 per cell]
Br  0.0147  0.3794  0.6447 [12 per cell]

The 6 most intense peaks (2θ from 5° to 70°), sorted by position:
2θ 15.8, d 5.623, I = 46, hkl 1 0 1
2θ 19.0, d 4.664, I = 100, hkl 1 0 2
2θ 28.2, d 3.168, I = 66, hkl 2 -1 2
2θ 35.6, d 2.523, I = 85, hkl 1 1 4
2θ 41.1, d 2.198, I = 32, hkl 2 1 2
2θ 44.5, d 2.035, I = 37, hkl 3 0 0

=====

Entry 6:
Starting from a cell relaxed with GGA-PBE, the X-ray diffraction stick pattern of YTmAu4 was computed for λ = 1.5418 Å (Cu Kα).
Kinematic intensities with the Lorentz-polarization factor, no thermal factor.

Structure:
Unit cell a=8.124 b=8.534 c=4.513 alpha=90.00 beta=123.60 gamma=90.00
Space group C2 (No. 5)
Symmetry-distinct sites (fractional):
Y  0.000  0.000  0.000 [2 per cell]
Tm  0.000  0.577  0.500 [2 per cell]
Au  0.220  0.377  0.220 [4 per cell]
Au  0.226  0.196  0.726 [4 per cell]

The 6 most intense peaks (2θ from 5° to 70°), sorted by position:
2θ 26.3, d 3.383, I = 28, hkl 2 0 0
2θ 33.8, d 2.651, I = 36, hkl 2 2 0
2θ 34.8, d 2.580, I = 100, hkl 1 1 1
2θ 37.4, d 2.407, I = 92, hkl 1 3 -1
2θ 40.0, d 2.256, I = 44, hkl 2 0 -2
2θ 46.3, d 1.961, I = 33, hkl 1 3 1

=====

Entry 7:
Starting from a cell relaxed with GGA-PBE, the X-ray diffraction stick pattern of CeErMgCu was computed for λ = 1.5418 Å (Cu Kα).
Kinematic intensities with the Lorentz-polarization factor, no thermal factor.

Structure:
Unit cell a=7.289 b=7.289 c=7.289 alpha=90.00 beta=90.00 gamma=90.00
Space group F-43m (No. 216)
Symmetry-distinct sites (fractional):
Ce  0.000  0.000  0.000 [4 per cell]
Er  0.000  0.000  0.500 [4 per cell]
Mg  0.250  0.250  0.750 [4 per cell]
Cu  0.250  0.250  0.250 [4 per cell]

The 6 most intense peaks (2θ from 5° to 70°), sorted by position:
2θ 24.4, d 3.644, I = 34, hkl 2 0 0
2θ 34.8, d 2.577, I = 100, hkl 2 2 0
2θ 43.0, d 2.104, I = 10, hkl 2 2 2
2θ 50.1, d 1.822, I = 18, hkl 4 0 0
2θ 56.5, d 1.630, I = 14, hkl 4 2 0
2θ 62.4, d 1.488, I = 36, hkl 4 2 2

=====

Entry 8:
Starting from a cell relaxed with GGA-PBE, the X-ray diffraction stick pattern of AlHg2 was computed for λ = 1.5418 Å (Cu Kα).
Kinematic intensities with the Lorentz-polarization factor, no thermal factor.

Structure:
Unit cell a=4.3656 b=4.3656 c=4.3334 alpha=90.00 beta=90.00 gamma=120.00
Space group P-3m1 (No. 164)
Symmetry-distinct sites (fractional):
Al  0.0000  0.0000  0.0000 [1 per cell]
Hg  0.3333  0.6667  0.3001 [2 per cell]

The 6 most intense peaks (2θ from 5° to 70°), sorted by position:
2θ 23.5, d 3.781, I = 26, hkl 1 0 0
2θ 31.4, d 2.849, I = 100, hkl 0 1 1
2θ 41.4, d 2.183, I = 38, hkl 1 1 0
2θ 48.4, d 1.880, I = 20, hkl 1 0 2
2θ 52.8, d 1.733, I = 24, hkl 2 0 1
2θ 69.2, d 1.357, I = 21, hkl 1 2 1

=====

Entry 9:
Starting from a cell relaxed with GGA-PBE, the X-ray diffraction stick pattern of Tb2Sn3 was computed for λ = 1.5418 Å (Cu Kα).
Kinematic intensities with the Lorentz-polarization factor, no thermal factor.

Structure:
Unit cell a=7.671 b=7.671 c=4.529 alpha=90.00 beta=90.00 gamma=90.00
Space group P4/m (No. 83)
Symmetry-distinct sites (fractional):
Tb  0.145  0.694  0.000 [4 per cell]
Sn  0.000  0.000  0.500 [1 per cell]
Sn  0.173  0.397  0.500 [4 per cell]
Sn  0.500  0.500  0.000 [1 per cell]

The 6 most intense peaks (2θ from 5° to 70°), sorted by position:
2θ 32.7, d 2.735, I = 100, hkl 1 2 1
2θ 37.1, d 2.426, I = 32, hkl 3 1 0
2θ 39.8, d 2.264, I = 16, hkl 0 0 2
2θ 55.5, d 1.655, I = 20, hkl 3 1 2
2θ 64.1, d 1.453, I = 19, hkl 5 0 1
2θ 67.8, d 1.382, I = 13, hkl 1 2 3

=====

Entry 10:
Starting from a cell relaxed with GGA-PBE, the X-ray diffraction stick pattern of LiY2BeH was computed for λ = 1.5418 Å (Cu Kα).
Kinematic intensities with the Lorentz-polarization factor, no thermal factor.

Structure:
Unit cell a=4.882 b=4.882 c=3.642 alpha=90.00 beta=90.00 gamma=90.00
Space group P4/mmm (No. 123)
Symmetry-distinct sites (fractional):
Li  0.000  0.000  0.000 [1 per cell]
Y  0.000  0.500  0.500 [2 per cell]
Be  0.500  0.500  0.000 [1 per cell]
H  0.000  0.000  0.500 [1 per cell]

The 6 most intense peaks (2θ from 5° to 70°), sorted by position:
2θ 24.4, d 3.642, I = 56, hkl 0 0 1
2θ 25.8, d 3.452, I = 93, hkl 1 1 0
2θ 35.8, d 2.505, I = 100, hkl 1 1 1
2θ 36.8, d 2.441, I = 48, hkl 2 0 0
2θ 44.7, d 2.028, I = 43, hkl 2 0 1
2θ 65.7, d 1.421, I = 33, hkl 3 1 1

=====

Entry 11:
Starting from a cell relaxed with GGA-PBE, the X-ray diffraction stick pattern of Zr10Sn3Sb3 was computed for λ = 1.5418 Å (Cu Kα).
Kinematic intensities with the Lorentz-polarization factor, no thermal factor.

Structure:
Unit cell a=8.5239 b=8.5239 c=5.7983 alpha=90.00 beta=90.00 gamma=120.00
Space group P-62m (No. 189)
Symmetry-distinct sites (fractional):
Zr  0.0000  0.2479  0.0000 [3 per cell]
Zr  0.0000  0.7473  0.5000 [3 per cell]
Zr  0.3333  0.6667  0.2508 [4 per cell]
Sn  0.0000  0.3885  0.5000 [3 per cell]
Sb  0.0000  0.6093  0.0000 [3 per cell]

The 6 most intense peaks (2θ from 5° to 70°), sorted by position:
2θ 30.8, d 2.899, I = 23, hkl 0 0 2
2θ 32.1, d 2.790, I = 24, hkl 2 1 0
2θ 35.7, d 2.514, I = 100, hkl 2 1 1
2θ 36.5, d 2.461, I = 57, hkl 3 0 0
2θ 37.5, d 2.397, I = 77, hkl 1 1 2
2θ 58.1, d 1.589, I = 24, hkl 2 1 3

=====

Entry 12:
Starting from a cell relaxed with GGA-PBE, the X-ray diffraction stick pattern of Sm12Co5Pb was computed for λ = 1.5418 Å (Cu Kα).
Kinematic intensities with the Lorentz-polarization factor, no thermal factor.

Structure:
Unit cell a=9.668 b=9.729 c=10.044 alpha=90.00 beta=90.00 gamma=90.00
Space group Immm (No. 71)
Symmetry-distinct sites (fractional):
Sm  0.000  0.192  0.200 [8 per cell]
Sm  0.193  0.500  0.187 [8 per cell]
Sm  0.203  0.314  0.500 [8 per cell]
Co  0.000  0.000  0.000 [2 per cell]
Co  0.000  0.382  0.000 [4 per cell]
Co  0.000  0.500  0.389 [4 per cell]
Pb  0.000  0.000  0.500 [2 per cell]

The 6 most intense peaks (2θ from 5° to 70°), sorted by position:
2θ 28.9, d 3.086, I = 31, hkl 0 3 1
2θ 29.2, d 3.059, I = 34, hkl 3 1 0
2θ 31.6, d 2.832, I = 100, hkl 2 2 2
2θ 33.8, d 2.649, I = 59, hkl 2 1 3
2θ 34.2, d 2.622, I = 53, hkl 1 3 2
2θ 34.5, d 2.597, I = 48, hkl 3 2 1